(1)
Diffraction record for K4GeTe4. The powder diffraction line list is theoretical, not measured: it uses a GGA-PBE-relaxed structure and Cu Kα.

Crystal structure
a b c (Å): 8.2118 8.2118 13.6393
angles (deg): 90.00 90.00 90.00
Space group I-42m (No. 121)
One atom of each set of equivalent atoms:
K 0.0000 0.0000 0.1884 x4
K 0.0000 0.5000 0.0000 x4
Ge 0.0000 0.0000 0.5000 x2
Te 0.1830 0.1830 0.6162 x8

Most intense lines, 2θ from 10° to 90°, sorted by position:
| index | d [Å] | two_theta | I (rel.) |
| --- | --- | --- | --- |
| 1 0 1 | 7.035 | 12.6 | 62.9 |
| 1 1 2 | 4.421 | 20.1 | 100.0 |
| 2 1 1 | 3.546 | 25.1 | 36.3 |
| 2 2 0 | 2.903 | 30.8 | 21.1 |
| 2 1 3 | 2.857 | 31.3 | 48.8 |
| 2 0 4 | 2.623 | 34.2 | 34.8 |
| 3 0 3 | 2.345 | 38.4 | 19.6 |
| 3 2 1 | 2.246 | 40.1 | 16.2 |
| 3 3 0 | 1.934 | 47.0 | 19.0 |
| 4 1 3 | 1.824 | 50.0 | 16.2 |

---

(2)
Diffraction record for K3GeTe2. The powder diffraction line list is theoretical, not measured: it uses a GGA-PBE-relaxed structure and Cu Kα.

Crystal structure
a b c (Å): 8.2166 15.6098 8.4668
angles (deg): 90.00 90.00 90.00
Space group Ibam (No. 72)
One atom of each set of equivalent atoms:
K 0.0000 0.0000 0.2500 x4
K 0.0000 0.2705 0.2500 x8
Ge 0.0000 0.5000 0.0000 x4
Te 0.2322 0.1278 0.0000 x8

Most intense lines, 2θ from 10° to 90°, sorted by position:
| index | d [Å] | two_theta | I (rel.) |
| --- | --- | --- | --- |
| 1 2 1 | 4.705 | 18.9 | 100.0 |
| 0 0 2 | 4.233 | 21.0 | 12.3 |
| 1 3 2 | 3.049 | 29.3 | 15.9 |
| 2 0 2 | 2.948 | 30.3 | 21.4 |
| 0 4 2 | 2.869 | 31.2 | 19.1 |
| 2 4 0 | 2.829 | 31.6 | 41.9 |
| 1 2 3 | 2.526 | 35.5 | 20.1 |
| 3 2 1 | 2.472 | 36.3 | 17.0 |
| 1 6 1 | 2.380 | 37.8 | 17.3 |
| 2 4 4 | 1.695 | 54.1 | 17.7 |

---

(3)
Diffraction record for KGe2Te4. The powder diffraction line list is theoretical, not measured: it uses a GGA-PBE-relaxed structure and Cu Kα.

Crystal structure
a b c (Å): 8.0757 14.5417 9.4338
angles (deg): 90.00 114.46 90.00
Space group Cc (No. 9)
One atom of each set of equivalent atoms:
K 0.0000 0.1255 0.0000 x4
Ge 0.2599 0.2794 0.8183 x4
Ge 0.4475 0.0300 0.6859 x4
Te 0.0343 0.2934 0.2616 x4
Te 0.2703 0.0214 0.3660 x4
Te 0.2745 0.4567 0.7413 x4
Te 0.4084 0.2696 0.1377 x4

Most intense lines, 2θ from 10° to 90°, sorted by position:
| index | d [Å] | two_theta | I (rel.) |
| --- | --- | --- | --- |
| 0 0 2 | 4.294 | 20.7 | 86.5 |
| 1 3 -1 | 4.039 | 22.0 | 53.9 |
| 0 4 0 | 3.635 | 24.5 | 100.0 |
| 2 2 -1 | 3.530 | 25.2 | 50.3 |
| 1 3 1 | 3.376 | 26.4 | 35.4 |
| 0 4 1 | 3.349 | 26.6 | 74.5 |
| 2 2 0 | 3.280 | 27.2 | 43.7 |
| 2 2 -2 | 3.249 | 27.4 | 42.2 |
| 1 1 3 | 2.327 | 38.7 | 33.5 |
| 2 6 -1 | 2.079 | 43.5 | 69.3 |

---

(4)
Diffraction record for K2GeTe2. The powder diffraction line list is theoretical, not measured: it uses a GGA-PBE-relaxed structure and Cu Kα.

Crystal structure
a b c (Å): 10.0417 9.1690 8.9027
angles (deg): 90.00 98.93 90.00
Space group P2_1/c (No. 14)
One atom of each set of equivalent atoms:
K 0.0756 0.2265 0.0222 x4
K 0.3425 0.6915 0.9802 x4
Ge 0.3733 0.0980 0.8642 x4
Te 0.1413 0.5467 0.2487 x4
Te 0.4101 0.0702 0.1949 x4

Most intense lines, 2θ from 10° to 90°, sorted by position:
| index | d [Å] | two_theta | I (rel.) |
| --- | --- | --- | --- |
| 0 1 1 | 6.347 | 14.0 | 32.5 |
| 1 1 -1 | 5.641 | 15.7 | 69.0 |
| 0 2 0 | 4.584 | 19.4 | 29.7 |
| 0 0 2 | 4.397 | 20.2 | 32.2 |
| 2 1 -1 | 4.140 | 21.5 | 50.9 |
| 2 1 1 | 3.712 | 24.0 | 71.6 |
| 0 2 2 | 3.174 | 28.1 | 72.6 |
| 1 1 -3 | 2.796 | 32.0 | 50.4 |
| 2 3 0 | 2.602 | 34.5 | 100.0 |
| 4 0 0 | 2.480 | 36.2 | 32.7 |